Diffraction record for Na3Ce3IrS8. The powder diffraction line list is theoretical, not measured: it uses a PBE-relaxed structure and a wavelength of 1.5418 Å.

Largest 10 diffraction maxima, in order of rising 2θ, 2θ = 5–70°:
- 13.05°, intensity 1000
- 26.38°, intensity 442
- 27.47°, intensity 266
- 31.48°, intensity 914
- 34.21°, intensity 170
- 40.70°, intensity 220
- 44.35°, intensity 321
- 45.88°, intensity 303
- 47.90°, intensity 222
- 53.66°, intensity 173

Crystal structure
```
data_Na3Ce3IrS8
_cell_length_a 8.178
_cell_length_b 8.178
_cell_length_c 8.178
_cell_angle_alpha 57.86
_cell_angle_beta 57.86
_cell_angle_gamma 57.86
_symmetry_space_group_name_H-M 'P 1'
_symmetry_Int_Tables_number 1
loop_
_symmetry_equiv_pos_as_xyz
'x,y,z'
loop_
_atom_site_label
_atom_site_type_symbol
_atom_site_fract_x
_atom_site_fract_y
_atom_site_fract_z
_atom_site_occupancy
Na1 Na 0.000 0.500 0.500 1
Na2 Na 0.500 0.000 0.500 1
Na3 Na 0.500 0.500 0.000 1
Ce1 Ce 0.000 0.000 0.500 1
Ce2 Ce 0.000 0.500 0.000 1
Ce3 Ce 0.500 0.000 0.000 1
Ir1 Ir 0.500 0.500 0.500 1
S1 S 0.245 0.245 0.245 1
S2 S 0.275 0.718 0.718 1
S3 S 0.282 0.282 0.725 1
S4 S 0.282 0.725 0.282 1
S5 S 0.718 0.275 0.718 1
S6 S 0.718 0.718 0.275 1
S7 S 0.725 0.282 0.282 1
S8 S 0.755 0.755 0.755 1
```